The following is a simulated XRD peak list of Na3YMgP2SO12. It was derived from DFT lattice parameters and positions (PBE), using Cu Kα (λ = 1.5418 Å).
No peak broadening, texture or thermal motion is included.

Main lines, in order of rising 2θ (10° ≤ 2θ ≤ 90°):
2θ = 13.58°, 6.518 Å, intensity 75; 2θ = 19.00°, 4.670 Å, intensity 46; 2θ = 19.23°, 4.616 Å, intensity 51; 2θ = 22.48°, 3.955 Å, intensity 52; 2θ = 22.56°, 3.942 Å, intensity 48; 2θ = 22.73°, 3.913 Å, intensity 45; 2θ = 30.24°, 2.955 Å, intensity 65; 2θ = 30.39°, 2.941 Å, intensity 70; 2θ = 30.62°, 2.920 Å, intensity 66; 2θ = 33.82°, 2.650 Å, intensity 100

Crystal structure
```
40
Lattice="7.937 -4.599 0.000 7.937 4.599 0.000 -5.184 0.000 7.651" Properties=species:S:1:pos:R:3 pbc="T T T"
Na 5.345 4.008 3.825
Na 2.858 2.435 5.713
Na 5.722 0.661 0.024
Na 3.130 -0.661 3.850
Na 5.449 -2.435 1.888
Na 7.937 -4.008 0.000
Y 8.355 2.285 1.676
Y 5.763 -2.285 5.501
Mg 2.921 2.360 2.435
Mg 0.329 -2.360 6.261
P 0.424 0.430 3.998
P 3.015 -0.430 0.173
P 10.645 0.872 4.084
P 13.236 -0.872 0.258
S 5.879 0.985 3.967
S 8.470 -0.985 0.142
O -2.417 0.447 6.560
O 6.716 3.020 0.263
O 1.709 1.284 3.841
O 0.175 -0.447 2.735
O 3.186 0.483 1.414
O 9.668 3.289 0.239
O 4.544 1.658 3.920
O 0.594 -0.483 5.240
O 6.604 1.179 2.688
O 4.301 -1.284 0.016
O 6.634 1.535 5.098
O 8.216 0.485 0.256
O 5.624 -0.485 4.081
O 9.948 1.500 2.856
O 7.136 -1.658 0.094
O 4.013 -1.179 6.514
O 9.861 1.193 5.371
O 4.124 -3.020 4.088
O 13.455 0.653 0.099
O 9.226 -1.535 1.273
O 7.356 -1.500 6.681
O 10.864 -0.653 3.924
O 7.077 -3.289 4.065
O 12.452 -1.193 1.545
```